Entry 1:
# Pm6SnTe2Se3
Calculated XRD peak list, λ = 1.5418 Å (Cu Kα). Input: the PBE geometry in Alexandria.
Peak positions follow from Bragg's law for the DFT cell and can differ from measured ones.

Main lines, sorted by position (5° ≤ 2θ ≤ 70°):
(hkl)  2theta  I/Imax
1 1 -2  29.1  100
2 0 -4  41.4  12
5 1 2  41.6  49
0 2 0  41.8  13
8 0 -4  51.3  6
4 0 4  51.4  7
6 2 0  51.7  13
2 2 -4  60.3  8
3 1 -6  68.0  5
8 2 -4  68.2  10
4 2 4  68.3  11
1 3 -2  68.6  6

Atomic structure:
a b c (Å): 18.9706 4.3197 8.7277
angles (deg): 90.00 103.45 90.00
Space group C2/m (No. 12)
One atom of each set of equivalent atoms:
Pm (0.0044, 0.0000, 0.2466) x4
Pm (0.1583, 0.5000, 0.1001) x4
Pm (0.1675, 0.5000, 0.5665) x4
Sn (0.0000, 0.5000, 0.5000) x2
Te (0.1689, 0.0000, 0.8378) x4
Se (0.0000, 0.5000, 0.0000) x2
Se (0.1681, 0.0000, 0.3342) x4

---

Entry 2:
# SrPm2Se4
Calculated XRD peak list, λ = 1.5418 Å (Cu Kα). Input: the PBE geometry in Alexandria.
Peak positions follow from Bragg's law for the DFT cell and can differ from measured ones.

Main lines, sorted by position (5° ≤ 2θ ≤ 70°):
(hkl)  2theta  I/Imax
0 0 4  23.1  27
3 0 2  24.8  88
2 1 0  25.4  36
1 1 3  28.0  100
2 1 3  30.8  78
4 0 2  31.6  35
2 1 4  34.6  75
4 1 0  36.2  69
2 0 6  38.0  41
3 0 6  41.6  43
0 2 0  42.0  58
2 1 6  43.7  49

Atomic structure:
a b c (Å): 12.1707 4.3019 15.4053
angles (deg): 90.00 90.00 90.00
Space group Pnma (No. 62)
One atom of each set of equivalent atoms:
Sr (0.2381, 0.2500, 0.1605) x4
Pm (0.0624, 0.7500, 0.3936) x4
Pm (0.1037, 0.7500, 0.9000) x4
Se (0.0053, 0.7500, 0.7173) x4
Se (0.0658, 0.7500, 0.0873) x4
Se (0.1537, 0.2500, 0.5121) x4
Se (0.2261, 0.2500, 0.8102) x4

---

Entry 3:
# Sr3Pm2YSe6
Calculated XRD peak list, λ = 1.5418 Å (Cu Kα). Input: the PBE geometry in Alexandria.
Peak positions follow from Bragg's law for the DFT cell and can differ from measured ones.

Main lines, sorted by position (5° ≤ 2θ ≤ 70°):
(hkl)  2theta  I/Imax
0 0 1  12.4  5
0 0 2  25.0  2
2 0 0  25.6  3
1 3 1  29.5  100
1 3 2  38.3  2
2 0 2  41.8  38
0 6 0  42.5  36
0 0 4  51.4  7
4 0 0  52.6  19
4 0 -4  61.2  12
0 6 4  68.8  16
4 6 0  69.8  16

Atomic structure:
a b c (Å): 7.3688 12.7485 7.5270
angles (deg): 90.00 109.06 90.00
Space group C2/m (No. 12)
One atom of each set of equivalent atoms:
Sr (0.0000, 0.0000, 0.0000) x2
Sr (0.0000, 0.3316, 0.0000) x4
Pm (0.0000, 0.1660, 0.5000) x4
Y (0.0000, 0.5000, 0.5000) x2
Se (0.2422, 0.3362, 0.7359) x8
Se (0.2481, 0.5000, 0.2627) x4

---

Entry 4:
# Tb5Pm3Se8
Calculated XRD peak list, λ = 1.5418 Å (Cu Kα). Input: the PBE geometry in Alexandria.
Peak positions follow from Bragg's law for the DFT cell and can differ from measured ones.

Main lines, sorted by position (5° ≤ 2θ ≤ 70°):
(hkl)  2theta  I/Imax
0 0 6  26.3  5
2 0 2  26.4  14
0 2 4  30.6  100
2 0 8  43.7  37
2 2 0  43.9  37
0 2 10  51.7  2
2 2 6  51.9  7
0 0 12  54.1  7
4 0 4  54.4  20
0 4 8  63.6  12
2 0 14  69.9  1

Atomic structure:
a b c (Å): 8.2517 8.2517 20.3514
angles (deg): 90.00 90.00 120.00
Space group R-3m (No. 166, hexagonal axes)
One atom of each set of equivalent atoms:
Tb (0.0000, 0.0000, 0.0000) x3
Tb (0.0000, 0.0000, 0.5000) x3
Tb (0.0000, 0.5000, 0.0000) x9
Pm (0.0000, 0.5000, 0.5000) x9
Se (0.0000, 0.0000, 0.2533) x6
Se (0.0043, 0.5021, 0.2522) x18

---

Q: Number 1 is which compound?
A: Pm6SnTe2Se3